# 1
Calculated powder diffractogram
Compound: CsU4Pd3S12
Radiation: CuKα
Structure: a cell relaxed with PBE
Lines closer than 0.1° are merged.

Top 12 peaks for 2θ = 10–90°, sorted by position:
Position (°2θ), intensity
18.10, 15
25.71, 100
28.80, 4
36.68, 25
41.19, 11
45.33, 60
52.84, 15
59.66, 23
66.04, 6
72.12, 25
83.74, 19
89.42, 7

Cell: 8.4881 8.4881 8.4881 Å, 109.47 109.47 109.47°
Atoms (fractional coordinates):
Cs: 0.0000 0.0000 0.0000
U: 0.0000 0.0000 0.5000
U: 0.0000 0.5000 0.0000
U: 0.5000 0.0000 0.0000
U: 0.5000 0.5000 0.5000
Pd: 0.0000 0.5000 0.5000
Pd: 0.5000 0.0000 0.5000
Pd: 0.5000 0.5000 0.0000
S: 0.1522 0.8321 0.3201
S: 0.1679 0.3201 0.4880
S: 0.1679 0.6799 0.8478
S: 0.3201 0.1522 0.8321
S: 0.3201 0.4880 0.1679
S: 0.4880 0.1679 0.3201
S: 0.5120 0.8321 0.6799
S: 0.6799 0.5120 0.8321
S: 0.6799 0.8478 0.1679
S: 0.8321 0.3201 0.1522
S: 0.8321 0.6799 0.5120
S: 0.8478 0.1679 0.6799

# 2
Calculated powder diffractogram
Compound: CsU3Pd4S12
Radiation: CuKα
Structure: a cell relaxed with PBE
Lines closer than 0.1° are merged.

Top 12 peaks for 2θ = 10–90°, sorted by position:
Position (°2θ), intensity
12.56, 30
21.33, 45
23.44, 100
25.27, 31
27.91, 33
30.45, 20
32.25, 26
40.05, 21
42.25, 21
44.06, 25
46.44, 26
47.89, 20

Cell: 8.7571 8.7571 8.7571 Å, 107.22 107.22 107.22°
Atoms (fractional coordinates):
Cs: 0.0000 0.0000 0.0000
U: 0.0000 0.5639 0.4361
U: 0.4361 0.0000 0.5639
U: 0.5639 0.4361 0.0000
Pd: 0.0603 0.5000 0.9397
Pd: 0.5000 0.5000 0.5000
Pd: 0.5000 0.9397 0.0603
Pd: 0.9397 0.0603 0.5000
S: 0.0682 0.6234 0.7469
S: 0.1025 0.8975 0.5000
S: 0.2531 0.3766 0.9318
S: 0.3362 0.6638 0.5000
S: 0.3766 0.9318 0.2531
S: 0.5000 0.1025 0.8975
S: 0.5000 0.3362 0.6638
S: 0.6234 0.7469 0.0682
S: 0.6638 0.5000 0.3362
S: 0.7469 0.0682 0.6234
S: 0.8975 0.5000 0.1025
S: 0.9318 0.2531 0.3766

# 3
Calculated powder diffractogram
Compound: Cs2VPdS4
Radiation: CuKα
Structure: a cell relaxed with PBE
Lines closer than 0.1° are merged.

Top 12 peaks for 2θ = 10–90°, sorted by position:
Position (°2θ), intensity
14.48, 20
17.14, 20
20.01, 19
24.76, 39
25.20, 100
26.84, 39
30.64, 49
33.88, 30
38.53, 31
44.34, 21
46.56, 26
50.15, 20

Cell: 14.1257 12.5489 7.6377 Å, 85.13 62.27 32.60°
Atoms (fractional coordinates):
Cs: 0.0500 0.0500 0.7000
Cs: 0.3000 0.3000 0.9500
Cs: 0.7000 0.7000 0.0500
Cs: 0.9500 0.9500 0.3000
V: 0.3750 0.3750 0.3750
V: 0.6250 0.6250 0.6250
Pd: 0.1250 0.1250 0.1250
Pd: 0.8750 0.8750 0.8750
S: 0.0123 0.6363 0.5551
S: 0.2964 0.5551 0.6363
S: 0.3637 0.9877 0.7036
S: 0.4449 0.7036 0.9877
S: 0.5551 0.2964 0.0123
S: 0.6363 0.0123 0.2964
S: 0.7036 0.4449 0.3637
S: 0.9877 0.3637 0.4449

# 4
Calculated powder diffractogram
Compound: Cs2Sb7Pd12
Radiation: CuKα
Structure: a cell relaxed with PBE
Lines closer than 0.1° are merged.

Top 12 peaks for 2θ = 10–90°, sorted by position:
Position (°2θ), intensity
28.48, 10
32.34, 100
35.12, 16
38.29, 11
40.16, 37
40.90, 24
41.87, 13
43.62, 12
44.13, 20
46.88, 16
57.26, 11
73.72, 12

Cell: 10.8583 10.8583 4.4129 Å, 90.00 90.00 120.00°
Atoms (fractional coordinates):
Cs: 0.3333 0.6667 0.2390
Cs: 0.6667 0.3333 0.7610
Sb: 0.0000 0.0000 0.5000
Sb: 0.0993 0.7080 0.7311
Sb: 0.2920 0.3913 0.7311
Sb: 0.3913 0.0993 0.2689
Sb: 0.6087 0.9007 0.7311
Sb: 0.7080 0.6087 0.2689
Sb: 0.9007 0.2920 0.2689
Pd: 0.0539 0.4324 0.7615
Pd: 0.1217 0.2492 0.2146
Pd: 0.1275 0.8783 0.2146
Pd: 0.2492 0.1275 0.7854
Pd: 0.3785 0.9461 0.7615
Pd: 0.4324 0.3785 0.2385
Pd: 0.5676 0.6215 0.7615
Pd: 0.6215 0.0539 0.2385
Pd: 0.7508 0.8725 0.2146
Pd: 0.8725 0.1217 0.7854
Pd: 0.8783 0.7508 0.7854
Pd: 0.9461 0.5676 0.2385